Entry 1:
Computed X-ray powder pattern
Compound: Rb3TbMgV2O8
Radiation: Cu Ka
Structure: a PBE+U-relaxed structure

Structure:
Cell: 5.676 5.967 8.976 Å, 84.04 89.70 67.93°
Space group P1 (No. 1)
Symmetry-distinct sites (fractional):
Rb (0.000, 0.000, 0.000)
Rb (0.275, 0.452, 0.584)
Rb (0.662, 0.668, 0.813)
Tb (0.543, 0.818, 0.339)
Mg (0.684, 0.302, 0.261)
V (0.220, 0.428, 0.093)
V (0.946, 0.107, 0.541)
O (0.238, 0.515, 0.903)
O (0.292, 0.971, 0.523)
O (0.356, 0.598, 0.217)
O (0.487, 0.125, 0.153)
O (0.768, 0.437, 0.457)
O (0.818, 0.088, 0.715)
O (0.825, 0.980, 0.392)
O (0.909, 0.433, 0.137)

Top 6 peaks for 2θ = 5–70°, by intensity:
25.71°, I = 100; 27.09°, I = 72; 31.72°, I = 70; 26.38°, I = 66; 30.50°, I = 60; 27.55°, I = 57

---

Entry 2:
Computed X-ray powder pattern
Compound: Ba3In2WO9
Radiation: Cu Ka
Structure: a PBE+U-relaxed structure

Structure:
Cell: 5.975 8.459 17.951 Å, 90.00 90.00 90.00°
Space group Immm (No. 71)
Symmetry-distinct sites (fractional):
Ba (0.000, 0.234, 0.000)
Ba (0.000, 0.259, 0.339)
In (0.000, 0.000, 0.169)
In (0.000, 0.000, 0.500)
In (0.000, 0.500, 0.500)
W (0.000, 0.500, 0.168)
O (0.000, 0.241, 0.500)
O (0.000, 0.268, 0.170)
O (0.230, 0.500, 0.091)
O (0.237, 0.500, 0.245)
O (0.249, 0.500, 0.413)

Top 6 peaks for 2θ = 5–70°, by intensity:
29.88°, I = 100; 53.05°, I = 39; 42.77°, I = 29; 62.07°, I = 14; 62.15°, I = 3; 18.17°, I = 2

---

Entry 3:
Computed X-ray powder pattern
Compound: Fe10O9F11
Radiation: Cu Ka
Structure: a PBE+U-relaxed structure

Structure:
Cell: 4.771 4.774 15.478 Å, 90.11 90.13 93.27°
Space group P1 (No. 1)
Symmetry-distinct sites (fractional):
Fe (0.000, 0.000, 0.000)
Fe (0.001, 0.000, 0.599)
Fe (0.421, 0.500, 0.900)
Fe (0.434, 0.509, 0.507)
Fe (0.457, 0.470, 0.111)
Fe (0.458, 0.461, 0.712)
Fe (0.475, 0.491, 0.302)
Fe (0.940, 0.950, 0.413)
Fe (0.961, 0.961, 0.809)
Fe (0.962, 0.983, 0.208)
O (0.148, 0.794, 0.907)
O (0.162, 0.786, 0.512)
O (0.252, 0.276, 0.805)
O (0.263, 0.279, 0.207)
O (0.278, 0.304, 0.008)
O (0.280, 0.302, 0.609)
O (0.632, 0.656, 0.404)
O (0.651, 0.675, 0.805)
O (0.666, 0.682, 0.203)
F (0.156, 0.788, 0.705)
F (0.158, 0.776, 0.302)
F (0.160, 0.796, 0.105)
F (0.248, 0.275, 0.403)
F (0.667, 0.696, 0.009)
F (0.670, 0.694, 0.610)
F (0.754, 0.194, 0.513)
F (0.761, 0.175, 0.303)
F (0.764, 0.179, 0.908)
F (0.773, 0.169, 0.705)
F (0.777, 0.176, 0.104)

Top 6 peaks for 2θ = 5–70°, by intensity:
34.56°, I = 100; 25.68°, I = 100; 27.22°, I = 92; 51.24°, I = 62; 53.05°, I = 26; 52.90°, I = 23

---

Entry 4:
Computed X-ray powder pattern
Compound: NiSO9
Radiation: Cu Ka
Structure: a PBE+U-relaxed structure

Structure:
Cell: 4.484 4.755 7.244 Å, 105.23 92.72 91.89°
Space group P1 (No. 1)
Symmetry-distinct sites (fractional):
Ni (0.000, 0.000, 0.000)
S (0.520, 0.443, 0.953)
O (0.131, 0.925, 0.298)
O (0.227, 0.783, 0.796)
O (0.296, 0.480, 0.778)
O (0.327, 0.340, 0.085)
O (0.338, 0.026, 0.418)
O (0.664, 0.729, 0.050)
O (0.695, 0.548, 0.500)
O (0.727, 0.225, 0.859)
O (0.885, 0.480, 0.382)

Top 6 peaks for 2θ = 5–70°, by intensity:
12.69°, I = 100; 28.55°, I = 47; 34.68°, I = 28; 25.53°, I = 27; 31.80°, I = 26; 27.19°, I = 20

---

Entry 5:
Computed X-ray powder pattern
Compound: Rb4MgMo2S4O4
Radiation: Cu Ka
Structure: a PBE+U-relaxed structure

Structure:
Cell: 11.730 9.774 7.911 Å, 90.00 110.66 90.00°
Space group C2 (No. 5)
Symmetry-distinct sites (fractional):
Rb (0.186, 0.000, 0.090)
Rb (0.198, 0.046, 0.594)
Mg (0.000, 0.386, 0.500)
Mo (0.000, 0.388, 0.000)
Mo (0.000, 0.676, 0.500)
S (0.001, 0.240, 0.759)
S (0.026, 0.810, 0.283)
O (0.123, 0.540, 0.568)
O (0.142, 0.477, 0.071)

Top 6 peaks for 2θ = 5–70°, by intensity:
24.39°, I = 100; 29.08°, I = 65; 35.71°, I = 62; 26.00°, I = 61; 29.51°, I = 54; 21.79°, I = 51

---

Entry 6:
Computed X-ray powder pattern
Compound: Li6TiCr3P6O24
Radiation: Cu Ka
Structure: a PBE+U-relaxed structure

Structure:
Cell: 8.488 8.551 8.570 Å, 61.48 61.74 61.63°
Space group P1 (No. 1)
Symmetry-distinct sites (fractional):
Li (0.000, 0.000, 0.000)
Li (0.091, 0.509, 0.888)
Li (0.275, 0.853, 0.649)
Li (0.484, 0.691, 0.307)
Li (0.722, 0.352, 0.147)
Li (0.907, 0.087, 0.493)
Ti (0.896, 0.498, 0.300)
Cr (0.105, 0.703, 0.506)
Cr (0.391, 0.994, 0.791)
Cr (0.607, 0.210, 0.007)
P (0.208, 0.098, 0.188)
P (0.303, 0.601, 0.102)
P (0.498, 0.389, 0.614)
P (0.700, 0.902, 0.403)
P (0.791, 0.815, 0.903)
P (0.999, 0.303, 0.702)
O (0.016, 0.262, 0.222)
O (0.056, 0.461, 0.675)
O (0.136, 0.540, 0.146)
O (0.157, 0.110, 0.719)
O (0.188, 0.936, 0.380)
O (0.218, 0.056, 0.028)
O (0.279, 0.655, 0.260)
O (0.294, 0.772, 0.919)
O (0.336, 0.581, 0.590)
O (0.378, 0.142, 0.148)
O (0.453, 0.225, 0.639)
O (0.492, 0.442, 0.076)
O (0.510, 0.916, 0.562)
O (0.549, 0.359, 0.774)
O (0.617, 0.851, 0.866)
O (0.660, 0.419, 0.418)
O (0.697, 0.084, 0.232)
O (0.739, 0.736, 0.346)
O (0.777, 0.972, 0.952)
O (0.817, 0.620, 0.065)
O (0.843, 0.276, 0.895)
O (0.860, 0.871, 0.460)
O (0.939, 0.341, 0.540)
O (0.980, 0.787, 0.740)

Top 6 peaks for 2θ = 5–70°, by intensity:
24.10°, I = 100; 24.23°, I = 99; 24.02°, I = 98; 20.77°, I = 98; 20.31°, I = 65; 35.57°, I = 63

---

Entry 7:
Computed X-ray powder pattern
Compound: Fe2O3
Radiation: Cu Ka
Structure: a PBE+U-relaxed structure

Structure:
Cell: 8.224 8.232 8.236 Å, 109.83 109.56 108.93°
Space group P1 (No. 1)
Symmetry-distinct sites (fractional):
Fe (0.000, 0.000, 0.000)
Fe (0.001, 0.500, 0.500)
Fe (0.036, 0.286, 0.823)
Fe (0.211, 0.249, 0.531)
Fe (0.251, 0.038, 0.789)
Fe (0.251, 0.541, 0.288)
Fe (0.284, 0.820, 0.035)
Fe (0.463, 0.787, 0.750)
Fe (0.500, 0.570, 0.074)
Fe (0.502, 0.078, 0.579)
Fe (0.539, 0.289, 0.328)
Fe (0.715, 0.754, 0.535)
Fe (0.746, 0.037, 0.287)
Fe (0.748, 0.539, 0.788)
Fe (0.790, 0.321, 0.039)
Fe (0.963, 0.789, 0.249)
O (0.018, 0.263, 0.061)
O (0.018, 0.584, 0.292)
O (0.024, 0.763, 0.018)
O (0.202, 0.765, 0.742)
O (0.210, 0.993, 0.511)
O (0.242, 0.578, 0.054)
O (0.255, 0.495, 0.513)
O (0.292, 0.079, 0.064)
O (0.296, 0.308, 0.833)
O (0.476, 0.316, 0.557)
O (0.480, 0.810, 0.512)
O (0.482, 0.492, 0.280)
O (0.521, 0.806, 0.015)
O (0.523, 0.080, 0.837)
O (0.525, 0.038, 0.338)
O (0.702, 0.536, 0.012)
O (0.710, 0.774, 0.795)
O (0.745, 0.262, 0.240)
O (0.759, 0.814, 0.336)
O (0.790, 0.302, 0.782)
O (0.798, 0.542, 0.562)
O (0.974, 0.994, 0.739)
O (0.983, 0.046, 0.245)
O (0.983, 0.276, 0.565)

Top 6 peaks for 2θ = 5–70°, by intensity:
32.63°, I = 100; 54.49°, I = 22; 22.96°, I = 8; 64.76°, I = 8; 22.87°, I = 8; 54.60°, I = 7

---

Entry 8:
Computed X-ray powder pattern
Compound: Rb2Ce2Fe4O9
Radiation: Cu Ka
Structure: a PBE+U-relaxed structure

Structure:
Cell: 3.985 7.988 15.782 Å, 90.00 90.00 90.00°
Space group Amm2 (No. 38)
Symmetry-distinct sites (fractional):
Rb (0.000, 0.249, 0.000)
Ce (0.000, 0.250, 0.249)
Fe (0.500, 0.000, 0.127)
Fe (0.500, 0.000, 0.358)
Fe (0.500, 0.000, 0.641)
Fe (0.500, 0.000, 0.874)
O (0.000, 0.000, 0.166)
O (0.000, 0.000, 0.346)
O (0.000, 0.000, 0.651)
O (0.000, 0.000, 0.834)
O (0.500, 0.000, 0.995)
O (0.500, 0.248, 0.661)
O (0.500, 0.249, 0.840)

Top 6 peaks for 2θ = 5–70°, by intensity:
31.90°, I = 100; 31.72°, I = 38; 56.62°, I = 37; 11.21°, I = 21; 56.96°, I = 20; 45.41°, I = 14

---

Entry 9:
Computed X-ray powder pattern
Compound: BaYW4O7
Radiation: Cu Ka
Structure: a PBE+U-relaxed structure

Structure:
Cell: 6.3593 6.3593 11.5050 Å, 90.00 90.00 120.00°
Space group P6_3mc (No. 186)
Symmetry-distinct sites (fractional):
Ba (0.3333, 0.6667, 0.0000)
Y (0.3333, 0.6667, 0.3848)
W (0.0000, 0.0000, 0.0227)
W (0.1678, 0.3357, 0.7039)
O (0.0000, 0.0000, 0.3219)
O (0.0379, 0.5189, 0.8125)
O (0.1801, 0.3601, 0.5207)

Top 6 peaks for 2θ = 5–70°, by intensity:
33.46°, I = 100; 32.17°, I = 80; 28.36°, I = 46; 51.78°, I = 43; 58.01°, I = 35; 16.09°, I = 23

---

Entry 10:
Computed X-ray powder pattern
Compound: V2Ni3O8
Radiation: Cu Ka
Structure: a PBE+U-relaxed structure

Structure:
Cell: 6.005 11.548 8.355 Å, 90.00 90.00 90.00°
Space group Cmce (No. 64)
Symmetry-distinct sites (fractional):
V (0.000, 0.123, 0.119)
Ni (0.000, 0.000, 0.500)
Ni (0.250, 0.131, 0.750)
O (0.000, 0.000, 0.255)
O (0.000, 0.248, 0.729)
O (0.234, 0.118, 0.998)

Top 6 peaks for 2θ = 5–70°, by intensity:
35.37°, I = 100; 63.06°, I = 66; 29.57°, I = 61; 35.80°, I = 53; 43.34°, I = 39; 43.49°, I = 33